# 1
This entry pairs a crystal structure of Gd3AlCd2Pt2Au with its computed powder XRD pattern. Radiation: CuKα. Structure: DFT lattice parameters and positions (GGA-PBE).
Kinematic intensities with the Lorentz-polarization factor, no thermal factor.

Structural model:
```
Gd3AlCd2Pt2Au
1.0
3.9356 0.0000 0.0000
0.0000 6.6434 3.7733
0.0000 -6.6434 3.7733
Gd Al Cd Pt Au
3 1 2 2 1
direct
0.0000 0.0000 0.0000 Gd
0.0000 0.1780 0.5899 Gd
0.0000 0.5899 0.1780 Gd
0.5000 0.3280 0.3280 Al
0.5000 0.5893 0.8470 Cd
0.5000 0.8470 0.5893 Cd
0.5000 0.2623 0.9483 Pt
0.5000 0.9483 0.2623 Pt
0.0000 0.5581 0.5581 Au
```

Principal peaks in the range 2θ = 10–90°, most intense first:
2θ 35.36, I 100
2θ 35.63, I 89
2θ 32.88, I 79
2θ 32.67, I 56
2θ 41.27, I 52
2θ 46.13, I 44
2θ 36.02, I 35
2θ 26.38, I 33
2θ 63.60, I 29
2θ 23.29, I 26

***

# 2
This entry pairs a crystal structure of Li2AlCd3Au2 with its computed powder XRD pattern. Radiation: CuKα. Structure: DFT lattice parameters and positions (GGA-PBE).
Kinematic intensities with the Lorentz-polarization factor, no thermal factor.

Structural model:
```
Li2AlCd3Au2
1.0
4.6104 0.0000 0.0000
0.0000 4.6104 0.0000
0.0000 0.0000 6.5557
Li Al Cd Au
2 1 3 2
direct
0.0000 0.5000 0.2450 Li
0.5000 0.0000 0.7550 Li
0.5000 0.5000 0.0000 Al
0.0000 0.0000 0.0000 Cd
0.0000 0.0000 0.5000 Cd
0.5000 0.5000 0.5000 Cd
0.0000 0.5000 0.7696 Au
0.5000 0.0000 0.2304 Au
```

Principal peaks in the range 2θ = 10–90°, most intense first:
2θ 38.96, I 100
2θ 23.59, I 94
2θ 39.07, I 51
2θ 70.72, I 34
2θ 46.15, I 33
2θ 56.45, I 17
2θ 70.50, I 16
2θ 45.96, I 15
2θ 61.87, I 12
2θ 83.68, I 10

***

# 3
This entry pairs a crystal structure of Li2AlZnCd2Au2 with its computed powder XRD pattern. Radiation: CuKα. Structure: DFT lattice parameters and positions (GGA-PBE).
Kinematic intensities with the Lorentz-polarization factor, no thermal factor.

Structural model:
```
Li2AlZnCd2Au2
1.0
4.5516 0.0000 0.0000
0.0000 4.5516 0.0000
0.0000 0.0000 6.4485
Li Al Zn Cd Au
2 1 1 2 2
direct
0.0000 0.5000 0.2425 Li
0.5000 0.0000 0.7575 Li
0.0000 0.0000 0.5000 Al
0.5000 0.5000 0.0000 Zn
0.0000 0.0000 0.0000 Cd
0.5000 0.5000 0.5000 Cd
0.0000 0.5000 0.7443 Au
0.5000 0.0000 0.2557 Au
```

Principal peaks in the range 2θ = 10–90°, most intense first:
2θ 39.58, I 100
2θ 23.93, I 75
2θ 46.78, I 39
2θ 71.80, I 34
2θ 62.90, I 16
2θ 57.25, I 11
2θ 85.23, I 11
2θ 76.97, I 6
2θ 76.87, I 6
2θ 57.14, I 6

***

# 4
This entry pairs a crystal structure of CsLaAlAu with its computed powder XRD pattern. Radiation: CuKα. Structure: DFT lattice parameters and positions (GGA-PBE).
Kinematic intensities with the Lorentz-polarization factor, no thermal factor.

Structural model:
```
CsLaAlAu
1.0
7.5514 0.0000 0.0000
0.0000 7.5514 0.0000
0.0000 0.0000 7.5514
Cs La Al Au
4 4 4 4
direct
0.0000 0.0000 0.0000 Cs
0.0000 0.5000 0.5000 Cs
0.5000 0.0000 0.5000 Cs
0.5000 0.5000 0.0000 Cs
0.2500 0.2500 0.7500 La
0.2500 0.7500 0.2500 La
0.7500 0.2500 0.2500 La
0.7500 0.7500 0.7500 La
0.2500 0.2500 0.2500 Al
0.2500 0.7500 0.7500 Al
0.7500 0.2500 0.7500 Al
0.7500 0.7500 0.2500 Al
0.0000 0.0000 0.5000 Au
0.0000 0.5000 0.0000 Au
0.5000 0.0000 0.0000 Au
0.5000 0.5000 0.5000 Au
```

Principal peaks in the range 2θ = 10–90°, most intense first:
2θ 33.57, I 100
2θ 60.02, I 38
2θ 48.20, I 18
2θ 80.43, I 16
2θ 20.37, I 15
2θ 23.56, I 13
2θ 70.55, I 12
2θ 39.58, I 9
2θ 54.33, I 6
2θ 41.42, I 4

***

# 5
This entry pairs a crystal structure of AlCuAu2 with its computed powder XRD pattern. Radiation: CuKα. Structure: DFT lattice parameters and positions (GGA-PBE).
Kinematic intensities with the Lorentz-polarization factor, no thermal factor.

Structural model:
```
AlCuAu2
1.0
5.6710 0.0000 0.0000
0.0000 7.8624 0.0000
0.0000 0.0000 5.7916
Al Cu Au
4 4 8
direct
0.1180 0.2500 0.1244 Al
0.3820 0.7500 0.6244 Al
0.6180 0.2500 0.3756 Al
0.8820 0.7500 0.8756 Al
0.0622 0.7500 0.3026 Cu
0.4378 0.2500 0.8026 Cu
0.5622 0.7500 0.1974 Cu
0.9378 0.2500 0.6974 Cu
0.2478 0.0532 0.4672 Au
0.2478 0.4468 0.4672 Au
0.2522 0.5532 0.9672 Au
0.2522 0.9468 0.9672 Au
0.7478 0.0532 0.0328 Au
0.7478 0.4468 0.0328 Au
0.7522 0.5532 0.5328 Au
0.7522 0.9468 0.5328 Au
```

Principal peaks in the range 2θ = 10–90°, most intense first:
2θ 41.01, I 100
2θ 39.17, I 61
2θ 38.62, I 56
2θ 44.73, I 52
2θ 31.55, I 49
2θ 22.62, I 42
2θ 30.88, I 42
2θ 24.72, I 33
2θ 63.45, I 31
2θ 50.69, I 27

***

# 6
This entry pairs a crystal structure of Er3Al3CuGeAu with its computed powder XRD pattern. Radiation: CuKα. Structure: DFT lattice parameters and positions (GGA-PBE).
Kinematic intensities with the Lorentz-polarization factor, no thermal factor.

Structural model:
```
Er3Al3CuGeAu
1.0
7.0434 0.0000 0.0000
-3.5217 6.0998 0.0000
0.0000 0.0000 4.1354
Er Al Cu Ge Au
3 3 1 1 1
direct
0.0746 0.7396 0.0000 Er
0.2604 0.3351 0.0000 Er
0.6649 0.9254 0.0000 Er
0.4289 0.1033 0.5000 Al
0.6744 0.5711 0.5000 Al
0.8967 0.3256 0.5000 Al
0.6667 0.3333 0.0000 Cu
0.3333 0.6667 0.5000 Ge
0.0000 0.0000 0.5000 Au
```

Principal peaks in the range 2θ = 10–90°, most intense first:
2θ 33.42, I 100
2θ 36.61, I 75
2θ 14.52, I 36
2θ 25.29, I 31
2θ 44.56, I 25
2θ 39.07, I 24
2θ 45.02, I 22
2θ 43.78, I 22
2θ 58.99, I 21
2θ 71.12, I 18

***

# 7
This entry pairs a crystal structure of Er3MgAl2CuAu2 with its computed powder XRD pattern. Radiation: CuKα. Structure: DFT lattice parameters and positions (GGA-PBE).
Kinematic intensities with the Lorentz-polarization factor, no thermal factor.

Structural model:
```
Er3MgAl2CuAu2
1.0
4.0294 0.0000 0.0000
0.0000 6.2336 3.6889
0.0000 -6.2336 3.6889
Er Mg Al Cu Au
3 1 2 1 2
direct
0.0000 0.0000 0.0000 Er
0.0000 0.1874 0.6013 Er
0.0000 0.6013 0.1874 Er
0.5000 0.3619 0.3619 Mg
0.5000 0.6023 0.8339 Al
0.5000 0.8339 0.6023 Al
0.0000 0.6121 0.6121 Cu
0.5000 0.2651 0.9265 Au
0.5000 0.9265 0.2651 Au
```

Principal peaks in the range 2θ = 10–90°, most intense first:
2θ 33.27, I 100
2θ 36.02, I 70
2θ 32.92, I 52
2θ 13.95, I 37
2θ 24.59, I 35
2θ 36.44, I 34
2θ 42.72, I 31
2θ 45.00, I 29
2θ 14.21, I 22
2θ 63.78, I 19

***

# 8
This entry pairs a crystal structure of Tm3Al3CuGeAu with its computed powder XRD pattern. Radiation: CuKα. Structure: DFT lattice parameters and positions (GGA-PBE).
Kinematic intensities with the Lorentz-polarization factor, no thermal factor.

Structural model:
```
Tm3Al3CuGeAu
1.0
7.0315 0.0000 0.0000
-3.5158 6.0895 0.0000
0.0000 0.0000 4.1066
Tm Al Cu Ge Au
3 3 1 1 1
direct
0.0012 0.4077 0.0000 Tm
0.4066 0.9988 0.0000 Tm
0.5923 0.5934 0.0000 Tm
0.2380 0.2308 0.5000 Al
0.7692 0.0073 0.5000 Al
0.9927 0.7620 0.5000 Al
0.0000 0.0000 0.0000 Cu
0.3333 0.6667 0.5000 Ge
0.6667 0.3333 0.5000 Au
```

Principal peaks in the range 2θ = 10–90°, most intense first:
2θ 33.56, I 100
2θ 36.75, I 75
2θ 14.55, I 37
2θ 25.33, I 32
2θ 44.64, I 25
2θ 39.14, I 24
2θ 45.16, I 22
2θ 44.10, I 22
2θ 59.15, I 21
2θ 54.32, I 19